AgBSe2: calculated powder XRD pattern (CuKα), based on DFT lattice parameters and positions (PBE).
Intensities are scaled so that the largest is 100.

Unit cell a=6.5477 b=6.5477 c=5.5747 alpha=104.56 beta=104.56 gamma=107.27
Fractional coordinates of all 8 atoms:
Ag (0.0646, 0.9354, 0.7500)
Ag (0.9354, 0.0646, 0.2500)
B (0.4964, 0.5036, 0.7500)
B (0.5036, 0.4964, 0.2500)
Se (0.2446, 0.4605, 0.4084)
Se (0.4605, 0.2446, 0.9084)
Se (0.5395, 0.7554, 0.0916)
Se (0.7554, 0.5395, 0.5916)

Top 6 peaks for 10° ≤ 2θ ≤ 90°, sorted by position:
two_theta, d [Å], I (rel.)
16.81, 5.273, 65
18.73, 4.737, 43
24.41, 3.647, 100
30.52, 2.929, 61
33.33, 2.688, 75
39.38, 2.288, 45